No. 1
Structure and simulated X-ray powder pattern of UAg2Se2O8 (the PBE geometry in the Materials Project; a wavelength of 1.5418 Å).
Peak positions follow from Bragg's law for the DFT cell and can differ from measured ones.

Cell and atoms:
abc: 5.999 6.633 21.690
angles: 90.00 99.51 90.00
Space group P2_1/c (No. 14)
Inequivalent atoms, fractional coordinates:
U1 0.222 0.089 0.145 x4
Ag1 0.231 0.096 0.340 x4
Ag2 0.261 0.604 0.042 x4
Se1 0.238 0.155 0.976 x4
Se2 0.304 0.561 0.225 x4
O1 0.033 0.640 0.568 x4
O2 0.040 0.691 0.336 x4
O3 0.162 0.721 0.696 x4
O4 0.167 0.248 0.545 x4
O5 0.333 0.123 0.448 x4
O6 0.349 0.058 0.657 x4
O7 0.414 0.140 0.251 x4
O8 0.488 0.508 0.627 x4

Top 6 peaks for 2θ from 10° to 90°, low angle first:
2θ (°)	intensity	hkl
15.9	32.6	1 0 -2
20.1	46.0	1 1 -1
25.0	21.3	0 0 6
27.2	100.0	1 1 -5
30.2	55.9	2 0 0
30.8	67.7	1 1 5

***

No. 2
Structure and simulated X-ray powder pattern of SiAgO3 (the PBE geometry in the Materials Project; a wavelength of 1.5418 Å).
Peak positions follow from Bragg's law for the DFT cell and can differ from measured ones.

Cell and atoms:
abc: 3.621 3.621 3.621
angles: 90.00 90.00 90.00
Space group Pm-3m (No. 221)
Inequivalent atoms, fractional coordinates:
Si1 0.000 0.000 0.000 x1
Ag1 0.500 0.500 0.500 x1
O1 0.000 0.000 0.500 x3

Top 6 peaks for 2θ from 10° to 90°, low angle first:
2θ (°)	intensity	hkl
24.6	34.3	1 0 0
35.0	100.0	1 1 0
43.3	40.3	1 1 1
50.4	37.7	2 0 0
62.9	35.7	2 1 1
74.0	21.2	2 2 0

***

No. 3
Structure and simulated X-ray powder pattern of Si2Ag6O7 (the PBE geometry in the Materials Project; a wavelength of 1.5418 Å).
Peak positions follow from Bragg's law for the DFT cell and can differ from measured ones.

Cell and atoms:
abc: 13.011 9.925 10.856
angles: 90.00 106.52 90.00
Space group C2/m (No. 12)
Inequivalent atoms, fractional coordinates:
Si1 0.105 0.000 0.127 x4
Si2 0.156 0.500 0.872 x4
Si3 0.197 0.000 0.617 x4
Ag1 0.011 0.151 0.343 x8
Ag2 0.041 0.500 0.364 x4
Ag3 0.083 0.358 0.139 x8
Ag4 0.183 0.179 0.865 x8
Ag5 0.223 0.327 0.621 x8
O1 0.000 0.000 0.000 x2
O2 0.111 0.136 0.213 x8
O3 0.113 0.362 0.927 x8
O4 0.123 0.137 0.571 x8
O5 0.126 0.500 0.714 x4
O6 0.206 0.500 0.454 x4
O7 0.210 0.000 0.068 x4
O8 0.246 0.000 0.778 x4

Top 6 peaks for 2θ from 10° to 90°, low angle first:
2θ (°)	intensity	hkl
31.8	100.0	1 3 -2
32.2	88.7	4 0 1
32.7	77.4	4 0 -3
34.0	37.8	1 3 2
34.2	51.0	3 3 -1
34.5	71.8	0 0 4

***

No. 4
Structure and simulated X-ray powder pattern of Si2Ag6O7 (the PBE geometry in the Materials Project; a wavelength of 1.5418 Å).
Peak positions follow from Bragg's law for the DFT cell and can differ from measured ones.

Cell and atoms:
abc: 5.442 9.851 16.242
angles: 90.00 90.67 90.00
Space group P2_1 (No. 4)
Inequivalent atoms, fractional coordinates:
Si1 0.222 0.000 0.303 x2
Si2 0.248 0.214 0.437 x2
Si3 0.252 0.199 0.961 x2
Si4 0.253 0.008 0.807 x2
Ag1 0.171 0.245 0.676 x2
Ag2 0.211 0.929 0.072 x2
Ag3 0.213 0.518 0.520 x2
Ag4 0.214 0.468 0.314 x2
Ag5 0.217 0.482 0.046 x2
Ag6 0.219 0.459 0.833 x2
Ag7 0.219 0.950 0.576 x2
Ag8 0.222 0.747 0.928 x2
Ag9 0.228 0.264 0.172 x2
Ag10 0.232 0.745 0.698 x2
Ag11 0.239 0.725 0.209 x2
Ag12 0.338 0.761 0.420 x2
O1 0.035 0.081 0.240 x2
O2 0.053 0.515 0.191 x2
O3 0.053 0.704 0.048 x2
O4 0.055 0.715 0.569 x2
O5 0.066 0.906 0.370 x2
O6 0.347 0.142 0.050 x2
O7 0.349 0.154 0.526 x2
O8 0.353 0.849 0.817 x2
O9 0.355 0.371 0.426 x2
O10 0.358 0.094 0.888 x2
O11 0.364 0.120 0.361 x2
O12 0.367 0.351 0.943 x2
O13 0.368 0.072 0.723 x2
O14 0.427 0.909 0.255 x2

Top 6 peaks for 2θ from 10° to 90°, low angle first:
2θ (°)	intensity	hkl
29.3	17.6	0 3 2
32.9	100.0	2 0 0
33.1	66.2	1 2 4
36.5	20.6	0 4 0
38.1	14.1	1 1 -6
44.6	15.2	0 0 8

***

No. 5
Structure and simulated X-ray powder pattern of Si2Ag6O7 (the PBE geometry in the Materials Project; a wavelength of 1.5418 Å).
Peak positions follow from Bragg's law for the DFT cell and can differ from measured ones.

Cell and atoms:
abc: 8.060 5.401 10.775
angles: 90.00 114.66 90.00
Space group P2/c (No. 13)
Inequivalent atoms, fractional coordinates:
Si1 0.200 0.226 0.361 x4
Ag1 0.064 0.229 0.607 x4
Ag2 0.312 0.189 0.100 x4
Ag3 0.447 0.265 0.863 x4
O1 0.000 0.335 0.250 x2
O2 0.187 0.081 0.869 x4
O3 0.245 0.351 0.512 x4
O4 0.357 0.308 0.310 x4

Top 6 peaks for 2θ from 10° to 90°, low angle first:
2θ (°)	intensity	hkl
32.6	92.9	2 1 -3
33.2	54.2	0 2 0
33.8	100.0	2 1 1
36.7	35.6	0 0 4
45.0	27.9	4 0 -2
50.3	22.0	0 2 4

***

No. 6
Structure and simulated X-ray powder pattern of SiAg2O3 (the PBE geometry in the Materials Project; a wavelength of 1.5418 Å).
Peak positions follow from Bragg's law for the DFT cell and can differ from measured ones.

Cell and atoms:
abc: 4.613 7.130 10.254
angles: 90.00 90.00 90.00
Space group P2_12_12_1 (No. 19)
Inequivalent atoms, fractional coordinates:
Si1 0.047 0.142 0.063 x4
Ag1 0.024 0.592 0.776 x4
Ag2 0.100 0.636 0.118 x4
O1 0.097 0.438 0.463 x4
O2 0.196 0.155 0.209 x4
O3 0.199 0.813 0.451 x4

Top 6 peaks for 2θ from 10° to 90°, low angle first:
2θ (°)	intensity	hkl
29.0	25.6	0 1 3
31.7	100.0	1 2 0
32.6	87.9	1 0 3
32.9	38.6	1 2 1
35.0	42.6	1 1 3
36.4	71.8	0 2 3

***

No. 7
Structure and simulated X-ray powder pattern of SiAg2O2 (the PBE geometry in the Materials Project; a wavelength of 1.5418 Å).
Peak positions follow from Bragg's law for the DFT cell and can differ from measured ones.

Cell and atoms:
abc: 9.162 9.162 4.661
angles: 90.00 90.00 90.00
Space group P4_2/n (No. 86, origin choice 2)
Inequivalent atoms, fractional coordinates:
Si1 0.000 0.000 0.000 x4
Ag1 0.121 0.829 0.413 x8
O1 0.040 0.389 0.745 x8

Top 6 peaks for 2θ from 10° to 90°, low angle first:
2θ (°)	intensity	hkl
13.7	100.0	1 1 0
29.0	16.2	1 2 1
33.7	34.4	2 2 1
36.5	45.0	1 3 1
39.9	20.5	1 0 2
40.4	20.1	2 3 1

***

No. 8
Structure and simulated X-ray powder pattern of Si2Ag2O5 (the PBE geometry in the Materials Project; a wavelength of 1.5418 Å).
Peak positions follow from Bragg's law for the DFT cell and can differ from measured ones.

Cell and atoms:
abc: 6.672 5.028 15.874
angles: 90.00 90.00 90.00
Space group Pbcn (No. 60)
Inequivalent atoms, fractional coordinates:
Si1 0.110 0.205 0.160 x8
Ag1 0.118 0.266 0.946 x8
O1 0.000 0.257 0.250 x4
O2 0.037 0.259 0.419 x8
O3 0.187 0.108 0.656 x8

Top 6 peaks for 2θ from 10° to 90°, low angle first:
2θ (°)	intensity	hkl
11.1	100.0	0 0 2
26.1	69.3	1 0 4
27.9	39.1	1 1 3
32.7	84.1	2 1 1
35.7	33.6	0 2 0
36.1	35.2	1 1 5